# 1
PmYSc2: calculated PXRD pattern (Cu Kα X-rays), based on a crystal structure in Alexandria, relaxed with PBE.
Intensities are scaled so that the largest is 100.

Largest 6 diffraction maxima, in order of rising 2θ, 10 to 90 degrees two-theta:
2θ/deg	I_rel	h k l
16.1	34	0 0 6
30.3	23	0 1 2
31.8	100	1 0 4
32.5	31	0 0 12
37.1	65	0 1 8
63.5	26	1 1 12

Atomic structure:
```
data_PmYSc2
_space_group_name_H-M_alt 'R -3 m'
_space_group_IT_number 166
_space_group_name_Hall '-R 3 2"'
_cell_length_a 3.4570
_cell_length_b 3.4570
_cell_length_c 33.0925
_cell_angle_alpha 90.00
_cell_angle_beta 90.00
_cell_angle_gamma 120.00
loop_
_atom_site_label
_atom_site_fract_x
_atom_site_fract_y
_atom_site_fract_z
Pm1 0.0000 0.0000 0.0000
Y1 0.0000 0.0000 0.5000
Sc1 0.0000 0.0000 0.2496
```

***

# 2
Rb3SmCu2Br9: calculated PXRD pattern (Cu Kα X-rays), based on a crystal structure in Alexandria, relaxed with PBE.
Intensities are scaled so that the largest is 100.

Largest 6 diffraction maxima, in order of rising 2θ, 10 to 90 degrees two-theta:
2θ/deg	I_rel	h k l
16.3	29	1 0 1
28.5	47	0 2 1
32.9	100	2 0 2
47.0	33	0 2 4
47.4	35	2 2 0
58.9	18	0 4 2

Atomic structure:
```
data_Rb3SmCu2Br9
_space_group_name_H-M_alt 'P -3 m 1'
_space_group_IT_number 164
_space_group_name_Hall '-P 3 2"'
_cell_length_a 7.6708
_cell_length_b 7.6708
_cell_length_c 9.5120
_cell_angle_alpha 90.00
_cell_angle_beta 90.00
_cell_angle_gamma 120.00
loop_
_atom_site_label
_atom_site_fract_x
_atom_site_fract_y
_atom_site_fract_z
Rb1 0.0000 0.0000 0.0000
Rb2 0.3333 0.6667 0.6860
Sm1 0.0000 0.0000 0.5000
Cu1 0.3333 0.6667 0.1372
Br1 0.0000 0.5000 0.0000
Br2 0.1732 0.3463 0.3250
```

***

# 3
CaIrOs2: calculated PXRD pattern (Cu Kα X-rays), based on a crystal structure in Alexandria, relaxed with PBE.
Intensities are scaled so that the largest is 100.

Largest 6 diffraction maxima, in order of rising 2θ, 10 to 90 degrees two-theta:
2θ/deg	I_rel	h k l
10.3	83	0 0 1
38.6	100	1 0 2
45.4	26	1 0 3
46.3	33	1 1 0
64.2	16	1 1 4
80.6	24	2 1 2

Atomic structure:
```
data_CaIrOs2
_space_group_name_H-M_alt 'P 4/m m m'
_space_group_IT_number 123
_space_group_name_Hall '-P 4 2'
_cell_length_a 2.773
_cell_length_b 2.773
_cell_length_c 8.629
_cell_angle_alpha 90.00
_cell_angle_beta 90.00
_cell_angle_gamma 90.00
loop_
_atom_site_label
_atom_site_fract_x
_atom_site_fract_y
_atom_site_fract_z
Ca1 0.000 0.000 0.000
Ir1 0.000 0.000 0.500
Os1 0.500 0.500 0.283
```

***

# 4
Y2ZnGa2: calculated PXRD pattern (Cu Kα X-rays), based on a crystal structure in Alexandria, relaxed with PBE.
Intensities are scaled so that the largest is 100.

Largest 6 diffraction maxima, in order of rising 2θ, 10 to 90 degrees two-theta:
2θ/deg	I_rel	h k l
32.4	48	1 1 2
32.9	49	3 1 -2
33.0	99	1 1 -3
36.1	48	3 1 -3
40.0	100	3 1 1
41.1	67	0 2 0

Atomic structure:
```
data_Y2ZnGa2
_space_group_name_H-M_alt 'C 1 2/m 1'
_space_group_IT_number 12
_cell_length_a 10.680
_cell_length_b 4.395
_cell_length_c 10.471
_cell_angle_alpha 90.00
_cell_angle_beta 117.97
_cell_angle_gamma 90.00
loop_
_space_group_symop_operation_xyz
'x,y,z'
'-x,-y,-z'
'-x,y,-z'
'x,-y,z'
'x+1/2,y+1/2,z'
'-x+1/2,-y+1/2,-z'
'-x+1/2,y+1/2,-z'
'x+1/2,-y+1/2,z'
loop_
_atom_site_label
_atom_site_fract_x
_atom_site_fract_y
_atom_site_fract_z
Y1 0.017 0.000 0.331
Y2 0.184 0.000 0.097
Zn1 0.225 0.500 0.344
Ga1 0.021 0.500 0.884
Ga2 0.139 0.500 0.567
```